Li3Mn3P4O16: calculated powder diffractogram (Cu Kα, 1.54184 Å), based on the GGA+U geometry in the Materials Project.
Lines closer than 0.1° are merged.

Principal peaks in the range 2θ = 10–90°, sorted by position:
16.55°, intensity 33, (1 1 0); 18.26°, intensity 28, (1 1 -1); 21.25°, intensity 45, (1 2 0); 25.01°, intensity 40, (1 2 1); 25.47°, intensity 100, (0 3 1); 29.60°, intensity 50, (2 0 -1); 30.50°, intensity 46, (1 3 1); 31.70°, intensity 77, (0 3 2); 32.23°, intensity 32, (1 2 2); 34.15°, intensity 40, (1 1 -3)

Structural model:
```
Li3Mn3P4O16
1.0
6.142 0.000 0.000
0.000 11.575 0.000
-1.479 0.000 8.280
Li Mn P O
6 6 8 32
Direct
0.129 0.000 0.444 Li
0.136 0.300 0.148 Li
0.369 0.208 0.548 Li
0.631 0.708 0.452 Li
0.864 0.800 0.852 Li
0.871 0.500 0.556 Li
0.076 0.687 0.219 Mn
0.364 0.913 0.842 Mn
0.413 0.514 0.778 Mn
0.587 0.014 0.222 Mn
0.636 0.413 0.158 Mn
0.924 0.187 0.781 Mn
0.067 0.019 0.094 P
0.136 0.732 0.583 P
0.374 0.474 0.411 P
0.448 0.187 0.898 P
0.552 0.687 0.102 P
0.626 0.974 0.589 P
0.864 0.232 0.417 P
0.933 0.519 0.906 P
0.007 0.139 0.015 O
0.081 0.170 0.412 O
0.106 0.926 0.968 O
0.118 0.476 0.816 O
0.133 0.838 0.699 O
0.139 0.786 0.413 O
0.157 0.539 0.353 O
0.232 0.182 0.772 O
0.276 0.025 0.229 O
0.346 0.661 0.643 O
0.362 0.414 0.577 O
0.376 0.718 0.204 O
0.393 0.378 0.280 O
0.410 0.040 0.582 O
0.438 0.279 0.025 O
0.496 0.061 0.977 O
0.504 0.561 0.023 O
0.562 0.779 0.975 O
0.590 0.540 0.418 O
0.607 0.878 0.720 O
0.624 0.218 0.796 O
0.638 0.914 0.423 O
0.654 0.161 0.357 O
0.724 0.525 0.771 O
0.768 0.682 0.228 O
0.843 0.039 0.647 O
0.861 0.286 0.587 O
0.867 0.338 0.301 O
0.882 0.976 0.184 O
0.894 0.426 0.032 O
0.919 0.670 0.588 O
0.993 0.639 0.985 O
```